This entry pairs a crystal structure of Ca3In2O6 with its computed X-ray powder pattern. Radiation: copper Kα. Structure: a crystal structure in the Materials Project, relaxed with GGA-PBE.
Intensities are scaled so that the largest is 100.

The 12 most intense peaks (15 to 90 degrees two-theta), sorted by position:
two_theta, d_spacing, I_rel
16.90, 5.247, 71
21.21, 4.190, 20
31.21, 2.866, 100
32.37, 2.766, 57
32.82, 2.729, 30
35.80, 2.508, 33
38.40, 2.344, 37
40.31, 2.238, 45
52.59, 1.740, 39
54.74, 1.677, 21
56.41, 1.631, 19
65.90, 1.417, 24

Atomic structure:
Lattice parameters (Å, degrees): 3.262 11.050 16.758 90.00 90.00 90.00
Fractional coordinates of all 44 atoms:
Ca  0.000  0.115  0.000
Ca  0.000  0.132  0.602
Ca  0.000  0.368  0.305
Ca  0.000  0.632  0.805
Ca  0.000  0.868  0.102
Ca  0.000  0.885  0.500
Ca  0.500  0.158  0.810
Ca  0.500  0.345  0.095
Ca  0.500  0.382  0.499
Ca  0.500  0.618  0.999
Ca  0.500  0.655  0.595
Ca  0.500  0.842  0.310
In  0.000  0.096  0.226
In  0.000  0.388  0.911
In  0.000  0.402  0.686
In  0.000  0.598  0.186
In  0.000  0.612  0.411
In  0.000  0.904  0.726
In  0.500  0.119  0.407
In  0.500  0.881  0.907
O  0.000  0.008  0.860
O  0.000  0.205  0.122
O  0.000  0.246  0.446
O  0.000  0.298  0.793
O  0.000  0.475  0.035
O  0.000  0.525  0.535
O  0.000  0.702  0.293
O  0.000  0.754  0.946
O  0.000  0.795  0.622
O  0.000  0.992  0.360
O  0.500  0.032  0.522
O  0.500  0.034  0.698
O  0.500  0.205  0.288
O  0.500  0.256  0.950
O  0.500  0.294  0.627
O  0.500  0.467  0.208
O  0.500  0.483  0.379
O  0.500  0.517  0.879
O  0.500  0.533  0.708
O  0.500  0.706  0.127
O  0.500  0.744  0.450
O  0.500  0.795  0.788
O  0.500  0.966  0.198
O  0.500  0.968  0.022



This entry pairs a crystal structure of Na4GaSi2GePO12 with its computed X-ray powder pattern. Radiation: copper Kα. Structure: a crystal structure in the Materials Project, relaxed with GGA-PBE.
Intensities are scaled so that the largest is 100.

The 12 most intense peaks (15 to 90 degrees two-theta), sorted by position:
two_theta, d_spacing, I_rel
20.05, 4.430, 100
20.22, 4.391, 25
28.65, 3.116, 25
31.19, 2.868, 15
31.80, 2.814, 44
32.00, 2.797, 39
32.21, 2.779, 39
35.14, 2.554, 66
47.96, 1.897, 20
48.27, 1.886, 15
48.55, 1.875, 14
54.92, 1.672, 19

Atomic structure:
Lattice parameters (Å, degrees): 8.847 8.847 8.783 119.55 119.55 59.99
Fractional coordinates of all 42 atoms:
Na  0.058  0.942  0.500
Na  0.195  0.434  0.989
Na  0.311  0.819  0.243
Na  0.434  0.195  0.489
Na  0.562  0.703  0.000
Na  0.703  0.562  0.500
Na  0.819  0.311  0.743
Na  0.942  0.058  0.000
Ga  0.158  0.675  0.804
Ga  0.675  0.158  0.304
Si  0.069  0.278  0.503
Si  0.278  0.069  0.003
Si  0.775  0.856  0.501
Si  0.856  0.775  0.001
Ge  0.463  0.967  0.693
Ge  0.967  0.463  0.193
P  0.354  0.569  0.501
P  0.569  0.354  0.001
O  0.048  0.743  0.986
O  0.051  0.301  0.317
O  0.086  0.253  0.016
O  0.096  0.456  0.684
O  0.178  0.548  0.325
O  0.253  0.086  0.516
O  0.255  0.888  0.985
O  0.301  0.051  0.817
O  0.333  0.591  0.674
O  0.371  0.742  0.511
O  0.403  0.532  0.982
O  0.456  0.096  0.184
O  0.532  0.403  0.482
O  0.548  0.178  0.825
O  0.586  0.876  0.520
O  0.591  0.333  0.174
O  0.666  0.802  0.819
O  0.742  0.371  0.011
O  0.743  0.048  0.486
O  0.802  0.666  0.319
O  0.840  0.957  0.181
O  0.876  0.586  0.020
O  0.888  0.255  0.485
O  0.957  0.840  0.681



This entry pairs a crystal structure of Ca2HfSnO6 with its computed X-ray powder pattern. Radiation: copper Kα. Structure: a crystal structure in the Materials Project, relaxed with GGA-PBE.
Intensities are scaled so that the largest is 100.

The 12 most intense peaks (15 to 90 degrees two-theta), sorted by position:
two_theta, d_spacing, I_rel
18.82, 4.716, 5
21.76, 4.085, 59
30.96, 2.888, 100
44.36, 2.042, 34
49.93, 1.827, 27
55.07, 1.667, 40
64.53, 1.444, 21
68.98, 1.362, 13
73.29, 1.292, 18
81.66, 1.179, 7
85.77, 1.133, 6
89.85, 1.092, 22

Atomic structure:
Lattice parameters (Å, degrees): 5.776 5.776 5.776 60.00 60.00 60.00
Fractional coordinates of all 10 atoms:
Ca  0.250  0.250  0.250
Ca  0.750  0.750  0.750
Hf  0.000  0.000  0.000
Sn  0.500  0.500  0.500
O  0.250  0.250  0.750
O  0.250  0.750  0.250
O  0.250  0.750  0.750
O  0.750  0.250  0.250
O  0.750  0.250  0.750
O  0.750  0.750  0.250



This entry pairs a crystal structure of Ba2ErGaTe5 with its computed X-ray powder pattern. Radiation: copper Kα. Structure: a crystal structure in the Materials Project, relaxed with GGA-PBE.
Intensities are scaled so that the largest is 100.

The 12 most intense peaks (15 to 90 degrees two-theta), sorted by position:
two_theta, d_spacing, I_rel
23.64, 3.763, 9
26.70, 3.338, 14
26.86, 3.319, 48
27.47, 3.247, 100
29.43, 3.035, 11
32.01, 2.796, 36
37.32, 2.410, 12
38.79, 2.321, 16
39.86, 2.262, 25
44.71, 2.027, 24
48.72, 1.869, 19
67.45, 1.389, 11

Atomic structure:
Lattice parameters (Å, degrees): 10.481 10.481 14.365 90.00 90.00 155.07
Fractional coordinates of all 18 atoms:
Ba  0.121  0.879  0.500
Ba  0.128  0.872  0.863
Ba  0.872  0.128  0.363
Ba  0.879  0.121  0.000
Er  0.205  0.795  0.163
Er  0.795  0.205  0.663
Ga  0.441  0.559  0.758
Ga  0.559  0.441  0.258
Te  0.046  0.954  0.149
Te  0.296  0.704  0.520
Te  0.313  0.687  0.815
Te  0.352  0.648  0.180
Te  0.498  0.502  0.419
Te  0.502  0.498  0.919
Te  0.648  0.352  0.680
Te  0.687  0.313  0.315
Te  0.704  0.296  0.020
Te  0.954  0.046  0.649